Structure and calculated X-ray powder pattern of TbDy2ScGa2 (a DFT-relaxed cell (PBE, Alexandria); Cu Ka).
Neutral-atom scattering factors, no anomalous dispersion.

Structural model:
Lattice parameters (Å, degrees): 4.721 9.348 6.732 90.00 90.00 90.00
Atoms (fractional coordinates):
Tb  0.000  0.053  0.000
Tb  0.000  0.947  0.500
Dy  0.000  0.315  0.385
Dy  0.000  0.685  0.885
Dy  0.500  0.444  0.086
Dy  0.500  0.556  0.586
Sc  0.500  0.190  0.703
Sc  0.500  0.810  0.203
Ga  0.000  0.360  0.826
Ga  0.000  0.640  0.326
Ga  0.500  0.120  0.276
Ga  0.500  0.880  0.776

Principal peaks in the range 2θ from 5° to 70°, in order of rising 2θ:
| 2θ/deg | d_spacing | intensity |
| --- | --- | --- |
| 30.00 | 2.979 | 63 |
| 31.64 | 2.828 | 40 |
| 32.67 | 2.741 | 59 |
| 32.79 | 2.732 | 30 |
| 34.09 | 2.630 | 100 |
| 34.49 | 2.601 | 70 |
| 37.06 | 2.426 | 27 |
| 38.12 | 2.361 | 56 |


Structure and calculated X-ray powder pattern of Dy3Ga2Si (a DFT-relaxed cell (PBE, Alexandria); Cu Ka).
Neutral-atom scattering factors, no anomalous dispersion.

Structural model:
Lattice parameters (Å, degrees): 11.786 4.034 11.898 90.00 90.00 90.00
Atoms (fractional coordinates):
Dy  0.061  0.250  0.123
Dy  0.117  0.750  0.553
Dy  0.211  0.250  0.790
Dy  0.289  0.750  0.290
Dy  0.383  0.250  0.053
Dy  0.439  0.750  0.623
Dy  0.561  0.250  0.377
Dy  0.617  0.750  0.947
Dy  0.711  0.250  0.710
Dy  0.789  0.750  0.210
Dy  0.883  0.250  0.447
Dy  0.939  0.750  0.877
Ga  0.017  0.750  0.309
Ga  0.189  0.750  0.991
Ga  0.311  0.250  0.491
Ga  0.483  0.250  0.809
Ga  0.517  0.750  0.191
Ga  0.689  0.750  0.509
Ga  0.811  0.250  0.009
Ga  0.983  0.250  0.691
Si  0.131  0.250  0.370
Si  0.369  0.750  0.870
Si  0.631  0.250  0.130
Si  0.869  0.750  0.630

Principal peaks in the range 2θ from 5° to 70°, in order of rising 2θ:
| 2θ/deg | d_spacing | intensity |
| --- | --- | --- |
| 27.20 | 3.278 | 50 |
| 27.81 | 3.208 | 46 |
| 30.78 | 2.905 | 61 |
| 31.64 | 2.828 | 100 |
| 32.69 | 2.739 | 49 |
| 35.28 | 2.544 | 46 |
| 40.88 | 2.208 | 43 |
| 44.94 | 2.017 | 45 |


Structure and calculated X-ray powder pattern of Dy2GaSi3 (a DFT-relaxed cell (PBE, Alexandria); Cu Ka).
Neutral-atom scattering factors, no anomalous dispersion.

Structural model:
Lattice parameters (Å, degrees): 4.061 4.188 13.855 90.00 90.00 90.00
Atoms (fractional coordinates):
Dy  0.000  0.000  0.000
Dy  0.000  0.500  0.240
Dy  0.500  0.000  0.740
Dy  0.500  0.500  0.500
Ga  0.000  0.000  0.413
Ga  0.500  0.500  0.913
Si  0.000  0.000  0.583
Si  0.000  0.500  0.658
Si  0.000  0.500  0.825
Si  0.500  0.000  0.158
Si  0.500  0.000  0.325
Si  0.500  0.500  0.083

Principal peaks in the range 2θ from 5° to 70°, in order of rising 2θ:
| 2θ/deg | d_spacing | intensity |
| --- | --- | --- |
| 22.82 | 3.897 | 19 |
| 25.72 | 3.464 | 17 |
| 28.78 | 3.103 | 36 |
| 33.34 | 2.687 | 100 |
| 39.37 | 2.289 | 28 |
| 43.20 | 2.094 | 17 |
| 51.01 | 1.790 | 18 |
| 59.86 | 1.545 | 16 |


Structure and calculated X-ray powder pattern of Dy3Ga2Si3 (a DFT-relaxed cell (PBE, Alexandria); Cu Ka).
Neutral-atom scattering factors, no anomalous dispersion.

Structural model:
Lattice parameters (Å, degrees): 5.735 5.735 14.869 90.00 90.00 138.06
Atoms (fractional coordinates):
Dy  0.070  0.930  0.750
Dy  0.363  0.637  0.595
Dy  0.363  0.637  0.905
Dy  0.637  0.363  0.095
Dy  0.637  0.363  0.405
Dy  0.930  0.070  0.250
Ga  0.349  0.651  0.121
Ga  0.349  0.651  0.379
Ga  0.651  0.349  0.621
Ga  0.651  0.349  0.879
Si  0.080  0.920  0.553
Si  0.080  0.920  0.947
Si  0.200  0.800  0.250
Si  0.800  0.200  0.750
Si  0.920  0.080  0.053
Si  0.920  0.080  0.447

Principal peaks in the range 2θ from 5° to 70°, in order of rising 2θ:
| 2θ/deg | d_spacing | intensity |
| --- | --- | --- |
| 24.47 | 3.638 | 49 |
| 26.16 | 3.407 | 44 |
| 33.26 | 2.694 | 58 |
| 33.46 | 2.678 | 34 |
| 33.58 | 2.668 | 100 |
| 33.82 | 2.651 | 40 |
| 41.39 | 2.181 | 35 |
| 44.12 | 2.052 | 36 |


Structure and calculated X-ray powder pattern of Dy5Ga2Sn2 (a DFT-relaxed cell (PBE, Alexandria); Cu Ka).
Neutral-atom scattering factors, no anomalous dispersion.

Structural model:
Lattice parameters (Å, degrees): 8.700 8.700 7.838 90.00 90.00 54.53
Atoms (fractional coordinates):
Dy  0.000  0.000  0.000
Dy  0.045  0.689  0.674
Dy  0.189  0.545  0.174
Dy  0.311  0.955  0.674
Dy  0.455  0.811  0.174
Dy  0.500  0.500  0.500
Dy  0.545  0.189  0.826
Dy  0.689  0.045  0.326
Dy  0.811  0.455  0.826
Dy  0.955  0.311  0.326
Ga  0.119  0.881  0.380
Ga  0.381  0.619  0.880
Ga  0.619  0.381  0.120
Ga  0.881  0.119  0.620
Sn  0.211  0.211  0.000
Sn  0.289  0.289  0.500
Sn  0.711  0.711  0.500
Sn  0.789  0.789  0.000

Principal peaks in the range 2θ from 5° to 70°, in order of rising 2θ:
| 2θ/deg | d_spacing | intensity |
| --- | --- | --- |
| 30.77 | 2.905 | 100 |
| 32.03 | 2.794 | 78 |
| 32.26 | 2.775 | 92 |
| 32.53 | 2.753 | 83 |
| 33.10 | 2.707 | 51 |
| 34.28 | 2.616 | 96 |
| 36.16 | 2.484 | 65 |
| 36.66 | 2.451 | 62 |


Structure and calculated X-ray powder pattern of Dy6GaSn2 (a DFT-relaxed cell (PBE, Alexandria); Cu Ka).
Neutral-atom scattering factors, no anomalous dispersion.

Structural model:
Lattice parameters (Å, degrees): 8.250 8.250 4.307 90.00 90.00 120.00
Atoms (fractional coordinates):
Dy  0.000  0.405  0.000
Dy  0.000  0.752  0.500
Dy  0.248  0.248  0.500
Dy  0.405  0.000  0.000
Dy  0.595  0.595  0.000
Dy  0.752  0.000  0.500
Ga  0.000  0.000  0.000
Sn  0.333  0.667  0.500
Sn  0.667  0.333  0.500

Principal peaks in the range 2θ from 5° to 70°, in order of rising 2θ:
| 2θ/deg | d_spacing | intensity |
| --- | --- | --- |
| 29.99 | 2.979 | 100 |
| 32.56 | 2.750 | 70 |
| 33.18 | 2.700 | 59 |
| 37.78 | 2.381 | 28 |
| 39.38 | 2.288 | 24 |
| 41.95 | 2.154 | 24 |
| 54.50 | 1.684 | 29 |
| 60.43 | 1.532 | 28 |


Structure and calculated X-ray powder pattern of DyZnGaSn (a DFT-relaxed cell (PBE, Alexandria); Cu Ka).
Neutral-atom scattering factors, no anomalous dispersion.

Structural model:
Lattice parameters (Å, degrees): 4.342 4.345 4.501 90.00 90.00 90.00
Atoms (fractional coordinates):
Dy  0.000  0.000  0.000
Zn  0.000  0.500  0.500
Ga  0.500  0.500  0.000
Sn  0.500  0.000  0.500

Principal peaks in the range 2θ from 5° to 70°, in order of rising 2θ:
| 2θ/deg | d_spacing | intensity |
| --- | --- | --- |
| 20.44 | 4.345 | 11 |
| 28.57 | 3.125 | 9 |
| 35.38 | 2.537 | 100 |
| 40.07 | 2.250 | 18 |
| 41.58 | 2.172 | 32 |
| 59.12 | 1.563 | 23 |
| 60.27 | 1.536 | 11 |
| 69.77 | 1.348 | 14 |


Structure and calculated X-ray powder pattern of TbDy4Ga (a DFT-relaxed cell (PBE, Alexandria); Cu Ka).
Neutral-atom scattering factors, no anomalous dispersion.

Structural model:
Lattice parameters (Å, degrees): 8.059 8.059 6.246 99.91 99.91 114.12
Atoms (fractional coordinates):
Tb  0.096  0.904  0.750
Tb  0.904  0.096  0.250
Dy  0.109  0.335  0.876
Dy  0.218  0.581  0.454
Dy  0.335  0.109  0.376
Dy  0.419  0.782  0.046
Dy  0.581  0.218  0.954
Dy  0.665  0.891  0.624
Dy  0.782  0.419  0.546
Dy  0.891  0.665  0.124
Ga  0.500  0.500  0.250
Ga  0.500  0.500  0.750

Principal peaks in the range 2θ from 5° to 70°, in order of rising 2θ:
| 2θ/deg | d_spacing | intensity |
| --- | --- | --- |
| 26.35 | 3.382 | 28 |
| 28.93 | 3.086 | 40 |
| 29.38 | 3.041 | 49 |
| 31.71 | 2.821 | 74 |
| 32.77 | 2.733 | 92 |
| 34.52 | 2.598 | 29 |
| 34.93 | 2.569 | 100 |
| 59.22 | 1.560 | 28 |